No. 1
This entry pairs a crystal structure of Pm3Sm8Ho3 with its computed PXRD pattern. Radiation: Cu Ka. Structure: a DFT-relaxed cell (GGA-PBE, Alexandria).
Kinematic intensities with the Lorentz-polarization factor, no thermal factor.

Cell and atoms:
Cell: 9.7708 9.7708 9.7708 Å, 146.03 112.17 78.08°
Sites, in units of the cell vectors:
Pm 0.0000 0.0000 0.0000
Pm 0.1804 0.6804 0.5000
Pm 0.8196 0.3196 0.5000
Sm 0.1190 0.2783 0.8407
Sm 0.2361 0.8969 0.3392
Sm 0.4376 0.2783 0.1593
Sm 0.4423 0.1031 0.3392
Sm 0.5577 0.8969 0.6608
Sm 0.5624 0.7217 0.8407
Sm 0.7639 0.1031 0.6608
Sm 0.8810 0.7217 0.1593
Ho 0.2019 0.5000 0.7019
Ho 0.5000 0.5000 0.0000
Ho 0.7981 0.5000 0.2981

Main lines, low angle first (2θ from 15° to 90°):
Position (°2θ), I_rel
29.4, 33.5
30.3, 29.5
31.3, 52.7
31.5, 100.0
33.4, 53.0
44.1, 21.1
55.9, 19.8
57.1, 20.5

No. 2
This entry pairs a crystal structure of Pm4SmHo with its computed PXRD pattern. Radiation: Cu Ka. Structure: a DFT-relaxed cell (GGA-PBE, Alexandria).
Kinematic intensities with the Lorentz-polarization factor, no thermal factor.

Cell and atoms:
Cell: 12.0995 12.0995 12.0995 Å, 152.13 41.11 150.39°
Sites, in units of the cell vectors:
Pm 0.0946 0.4257 0.6689
Pm 0.1482 0.0589 0.0893
Pm 0.2568 0.4257 0.8311
Pm 0.4695 0.0589 0.4107
Pm 0.5305 0.9411 0.5893
Pm 0.7432 0.5743 0.1689
Pm 0.8518 0.9411 0.9107
Pm 0.9054 0.5743 0.3311
Sm 0.0000 0.5000 0.5000
Sm 0.5000 0.5000 0.0000
Ho 0.3279 0.0779 0.2500
Ho 0.6721 0.9221 0.7500

Main lines, low angle first (2θ from 15° to 90°):
Position (°2θ), I_rel
28.9, 18.9
30.7, 32.7
31.7, 100.0
33.0, 26.5
42.6, 13.2
55.2, 20.9
58.2, 9.9
62.2, 14.8

No. 3
This entry pairs a crystal structure of Pm3Sm3Ho4 with its computed PXRD pattern. Radiation: Cu Ka. Structure: a DFT-relaxed cell (GGA-PBE, Alexandria).
Kinematic intensities with the Lorentz-polarization factor, no thermal factor.

Cell and atoms:
Cell: 3.6845 9.5427 9.5427 Å, 89.97 90.00 90.00°
Sites, in units of the cell vectors:
Pm 0.0000 0.0000 0.0000
Pm 0.0000 0.4998 0.8489
Pm 0.0000 0.8489 0.4998
Sm 0.0000 0.3489 0.3489
Sm 0.5000 0.1749 0.6736
Sm 0.5000 0.6736 0.1749
Ho 0.5000 0.0513 0.2982
Ho 0.5000 0.2982 0.0513
Ho 0.5000 0.5507 0.5507
Ho 0.5000 0.7979 0.7979

Main lines, low angle first (2θ from 15° to 90°):
Position (°2θ), I_rel
26.4, 13.3
29.6, 62.1
30.7, 31.1
32.1, 100.0
33.9, 16.4
55.0, 19.3
57.7, 14.8
58.7, 18.0

No. 4
This entry pairs a crystal structure of Pm2Sm6Ho with its computed PXRD pattern. Radiation: Cu Ka. Structure: a DFT-relaxed cell (GGA-PBE, Alexandria).
Kinematic intensities with the Lorentz-polarization factor, no thermal factor.

Cell and atoms:
Cell: 9.9052 9.9052 3.5385 Å, 90.00 90.00 120.20°
Sites, in units of the cell vectors:
Pm 0.1668 0.8332 0.0000
Pm 0.8332 0.1668 0.0000
Sm 0.1682 0.4995 0.5000
Sm 0.1686 0.1686 0.5000
Sm 0.4995 0.1682 0.5000
Sm 0.5005 0.8318 0.5000
Sm 0.8314 0.8314 0.5000
Sm 0.8318 0.5005 0.5000
Ho 0.5000 0.5000 0.0000

Main lines, low angle first (2θ from 15° to 90°):
Position (°2θ), I_rel
31.1, 91.3
31.3, 100.0
40.6, 10.5
44.7, 33.6
55.5, 11.8
55.6, 36.7
61.7, 28.9
79.4, 9.3

No. 5
This entry pairs a crystal structure of Pm5SmHo3 with its computed PXRD pattern. Radiation: Cu Ka. Structure: a DFT-relaxed cell (GGA-PBE, Alexandria).
Kinematic intensities with the Lorentz-polarization factor, no thermal factor.

Cell and atoms:
Cell: 9.7477 9.7477 9.7477 Å, 123.86 123.86 83.43°
Sites, in units of the cell vectors:
Pm 0.0000 0.0000 0.0000
Pm 0.0693 0.5693 0.9036
Pm 0.1657 0.0693 0.5000
Pm 0.3343 0.8343 0.9036
Pm 0.4307 0.3343 0.5000
Pm 0.5000 0.5000 0.0000
Pm 0.5693 0.6657 0.5000
Pm 0.6657 0.1657 0.0964
Pm 0.8343 0.9307 0.5000
Pm 0.9307 0.4307 0.0964
Sm 0.2500 0.7500 0.5000
Sm 0.7500 0.2500 0.5000
Ho 0.1113 0.3887 0.5000
Ho 0.2500 0.2500 0.0000
Ho 0.3887 0.8887 0.2774
Ho 0.6113 0.1113 0.7226
Ho 0.7500 0.7500 0.0000
Ho 0.8887 0.6113 0.5000

Main lines, low angle first (2θ from 15° to 90°):
Position (°2θ), I_rel
27.5, 53.9
28.5, 55.9
30.8, 19.2
31.4, 100.0
35.8, 24.7
37.9, 17.2
41.0, 17.7
51.1, 17.2

No. 6
This entry pairs a crystal structure of Pm4Sm6Ho with its computed PXRD pattern. Radiation: Cu Ka. Structure: a DFT-relaxed cell (GGA-PBE, Alexandria).
Kinematic intensities with the Lorentz-polarization factor, no thermal factor.

Cell and atoms:
Cell: 9.8201 9.8201 9.8201 Å, 140.19 140.19 57.57°
Sites, in units of the cell vectors:
Pm 0.0126 0.6351 0.0000
Pm 0.3649 0.3649 0.3775
Pm 0.6351 0.0126 0.0000
Pm 0.9874 0.9874 0.6225
Sm 0.0000 0.5000 0.5000
Sm 0.1959 0.1959 0.6457
Sm 0.4498 0.8041 0.0000
Sm 0.5000 0.0000 0.5000
Sm 0.5502 0.5502 0.3543
Sm 0.8041 0.4498 0.0000
Ho 0.0000 0.0000 0.0000

Main lines, low angle first (2θ from 15° to 90°):
Position (°2θ), I_rel
28.0, 38.9
28.6, 66.6
29.2, 30.2
30.3, 100.0
34.0, 72.6
38.1, 29.1
39.9, 35.1
57.0, 28.9

No. 7
This entry pairs a crystal structure of Pm4Sm5Ho3 with its computed PXRD pattern. Radiation: Cu Ka. Structure: a DFT-relaxed cell (GGA-PBE, Alexandria).
Kinematic intensities with the Lorentz-polarization factor, no thermal factor.

Cell and atoms:
Cell: 6.2500 7.2121 8.8400 Å, 90.03 90.09 90.16°
Sites, in units of the cell vectors:
Pm 0.1654 0.2485 0.1674
Pm 0.3341 0.5001 0.8335
Pm 0.6659 0.4999 0.1665
Pm 0.8346 0.7515 0.8326
Sm 0.0000 0.5000 0.5000
Sm 0.3322 0.0004 0.8332
Sm 0.4981 0.7514 0.4998
Sm 0.5019 0.2486 0.5002
Sm 0.6678 0.9996 0.1668
Ho 0.0000 0.0000 0.5000
Ho 0.1668 0.7510 0.1677
Ho 0.8332 0.2490 0.8323

Main lines, low angle first (2θ from 15° to 90°):
Position (°2θ), I_rel
30.3, 100.0
35.2, 50.7
50.6, 30.2
60.1, 21.6
60.2, 14.3
63.1, 9.3
82.3, 7.4
82.4, 7.4

No. 8
This entry pairs a crystal structure of Pm2Sm3Ho7 with its computed PXRD pattern. Radiation: Cu Ka. Structure: a DFT-relaxed cell (GGA-PBE, Alexandria).
Kinematic intensities with the Lorentz-polarization factor, no thermal factor.

Cell and atoms:
Cell: 5.8206 3.5765 18.8014 Å, 90.00 93.28 90.00°
Sites, in units of the cell vectors:
Pm 0.2102 0.0000 0.2926
Pm 0.7898 0.0000 0.7074
Sm 0.0000 0.0000 0.0000
Sm 0.2769 0.5000 0.6316
Sm 0.7231 0.5000 0.3684
Ho 0.1893 0.5000 0.1422
Ho 0.2424 0.0000 0.4620
Ho 0.3087 0.0000 0.8270
Ho 0.5000 0.5000 0.0000
Ho 0.6913 0.0000 0.1730
Ho 0.7576 0.0000 0.5380
Ho 0.8107 0.5000 0.8578

Main lines, low angle first (2θ from 15° to 90°):
Position (°2θ), I_rel
30.6, 29.0
30.8, 58.8
31.1, 100.0
31.4, 27.7
31.7, 44.5
33.3, 33.0
34.6, 30.6
54.3, 30.2

No. 9
This entry pairs a crystal structure of Pm4Sm5Ho4 with its computed PXRD pattern. Radiation: Cu Ka. Structure: a DFT-relaxed cell (GGA-PBE, Alexandria).
Kinematic intensities with the Lorentz-polarization factor, no thermal factor.

Cell and atoms:
Cell: 9.5458 9.5458 9.5458 Å, 94.05 94.05 149.17°
Sites, in units of the cell vectors:
Pm 0.0771 0.3831 0.4602
Pm 0.3831 0.9229 0.3060
Pm 0.6169 0.0771 0.6940
Pm 0.9229 0.6169 0.5398
Sm 0.0000 0.0000 0.0000
Sm 0.3084 0.5396 0.8480
Sm 0.4604 0.3084 0.7688
Sm 0.5396 0.6916 0.2312
Sm 0.6916 0.4604 0.1520
Ho 0.1542 0.7688 0.9231
Ho 0.2312 0.1542 0.3854
Ho 0.7688 0.8458 0.6146
Ho 0.8458 0.2312 0.0769

Main lines, low angle first (2θ from 15° to 90°):
Position (°2θ), I_rel
30.4, 100.0
35.2, 34.0
35.4, 16.7
50.6, 12.1
50.7, 24.1
60.2, 28.8
60.4, 14.2
63.2, 12.4

No. 10
This entry pairs a crystal structure of PmSm7Ho4 with its computed PXRD pattern. Radiation: Cu Ka. Structure: a DFT-relaxed cell (GGA-PBE, Alexandria).
Kinematic intensities with the Lorentz-polarization factor, no thermal factor.

Cell and atoms:
Cell: 8.5743 8.5743 9.3949 Å, 114.73 114.73 40.65°
Sites, in units of the cell vectors:
Pm 0.0000 0.0000 0.0000
Sm 0.0848 0.0848 0.4490
Sm 0.2113 0.2113 0.2368
Sm 0.2148 0.2148 0.8830
Sm 0.5000 0.5000 0.0000
Sm 0.7852 0.7852 0.1170
Sm 0.7887 0.7887 0.7632
Sm 0.9152 0.9152 0.5510
Ho 0.3294 0.3294 0.6152
Ho 0.4282 0.4282 0.3019
Ho 0.5718 0.5718 0.6981
Ho 0.6706 0.6706 0.3848

Main lines, low angle first (2θ from 15° to 90°):
Position (°2θ), I_rel
29.3, 31.8
30.0, 100.0
31.1, 40.7
31.8, 53.0
32.5, 76.4
32.6, 28.7
33.3, 69.1
43.8, 32.1

No. 11
This entry pairs a crystal structure of Pm3Sm4Ho4 with its computed PXRD pattern. Radiation: Cu Ka. Structure: a DFT-relaxed cell (GGA-PBE, Alexandria).
Kinematic intensities with the Lorentz-polarization factor, no thermal factor.

Cell and atoms:
Cell: 10.6865 6.6830 6.6830 Å, 50.76 90.00 90.00°
Sites, in units of the cell vectors:
Pm 0.0000 0.0000 0.0000
Pm 0.2919 0.1545 0.1545
Pm 0.7081 0.1545 0.1545
Sm 0.0000 0.7055 0.7055
Sm 0.2114 0.4986 0.4986
Sm 0.5000 0.6309 0.6309
Sm 0.7886 0.4986 0.4986
Ho 0.0000 0.3005 0.3005
Ho 0.3002 0.8493 0.8493
Ho 0.5000 0.3591 0.3591
Ho 0.6998 0.8493 0.8493

Main lines, low angle first (2θ from 15° to 90°):
Position (°2θ), I_rel
30.5, 30.3
30.8, 16.2
31.2, 37.8
31.9, 100.0
33.5, 15.4
56.0, 20.4
61.9, 13.7
62.3, 12.6

No. 12
This entry pairs a crystal structure of Pm4Sm3Ho3 with its computed PXRD pattern. Radiation: Cu Ka. Structure: a DFT-relaxed cell (GGA-PBE, Alexandria).
Kinematic intensities with the Lorentz-polarization factor, no thermal factor.

Cell and atoms:
Cell: 3.8123 9.3807 9.3807 Å, 89.70 90.00 90.00°
Sites, in units of the cell vectors:
Pm 0.0000 0.0000 0.0000
Pm 0.0000 0.2628 0.2628
Pm 0.0000 0.5019 0.7625
Pm 0.0000 0.7625 0.5019
Sm 0.5000 0.3002 0.9622
Sm 0.5000 0.4624 0.4624
Sm 0.5000 0.9622 0.3002
Ho 0.0000 0.1282 0.6334
Ho 0.0000 0.6334 0.1282
Ho 0.5000 0.8008 0.8008

Main lines, low angle first (2θ from 15° to 90°):
Position (°2θ), I_rel
27.0, 10.0
30.1, 63.9
30.2, 26.4
31.7, 100.0
46.5, 13.0
47.7, 15.5
55.5, 13.6
57.5, 21.7

Copy entry 8 word for word.
This entry pairs a crystal structure of Pm2Sm3Ho7 with its computed PXRD pattern. Radiation: Cu Ka. Structure: a DFT-relaxed cell (GGA-PBE, Alexandria).
Kinematic intensities with the Lorentz-polarization factor, no thermal factor.

Cell and atoms:
Cell: 5.8206 3.5765 18.8014 Å, 90.00 93.28 90.00°
Sites, in units of the cell vectors:
Pm 0.2102 0.0000 0.2926
Pm 0.7898 0.0000 0.7074
Sm 0.0000 0.0000 0.0000
Sm 0.2769 0.5000 0.6316
Sm 0.7231 0.5000 0.3684
Ho 0.1893 0.5000 0.1422
Ho 0.2424 0.0000 0.4620
Ho 0.3087 0.0000 0.8270
Ho 0.5000 0.5000 0.0000
Ho 0.6913 0.0000 0.1730
Ho 0.7576 0.0000 0.5380
Ho 0.8107 0.5000 0.8578

Main lines, low angle first (2θ from 15° to 90°):
Position (°2θ), I_rel
30.6, 29.0
30.8, 58.8
31.1, 100.0
31.4, 27.7
31.7, 44.5
33.3, 33.0
34.6, 30.6
54.3, 30.2